BaNb2Cr2: calculated powder XRD pattern (Cu Kα (λ = 1.5418 Å)), based on a GGA-PBE-relaxed structure.

Crystal structure
abc: 7.195 7.195 7.195
angles: 147.16 147.16 47.13
Fractional positions:
Ba 0.000 0.000 0.000
Nb 0.359 0.359 0.000
Nb 0.641 0.641 0.000
Cr 0.250 0.750 0.500
Cr 0.750 0.250 0.500

Largest 12 diffraction maxima, in order of rising 2θ, 2θ from 15° to 90°:
2θ = 29.93°, I 100; 2θ = 31.09°, I 23; 2θ = 34.00°, I 32; 2θ = 40.77°, I 16; 2θ = 41.67°, I 10; 2θ = 44.55°, I 33; 2θ = 52.38°, I 26; 2θ = 54.60°, I 36; 2θ = 61.96°, I 9; 2θ = 64.83°, I 10; 2θ = 74.01°, I 10; 2θ = 87.96°, I 12